Entry 1:
This entry pairs a crystal structure of RbIn6Sn6 with its computed powder XRD pattern. Radiation: Cu Ka. Structure: a crystal structure in Alexandria, relaxed with GGA-PBE.
Neutral-atom scattering factors, no anomalous dispersion.

Largest 8 diffraction maxima, by angle, 2θ from 15° to 90°:
- 2θ 15.30, I 88
- 2θ 21.71, I 41
- 2θ 26.67, I 100
- 2θ 38.07, I 74
- 2θ 41.26, I 63
- 2θ 44.25, I 46
- 2θ 64.37, I 30
- 2θ 77.30, I 29

Structure:
Unit cell a=8.187 b=8.187 c=8.187 alpha=90.00 beta=90.00 gamma=90.00
Space group Pm-3 (No. 200)
Asymmetric unit:
Rb 0.000 0.000 0.000
In 0.000 0.500 0.252
Sn 0.000 0.248 0.500

Entry 2:
This entry pairs a crystal structure of Rb2In12Sn7 with its computed powder XRD pattern. Radiation: Cu Ka. Structure: a crystal structure in Alexandria, relaxed with GGA-PBE.
Neutral-atom scattering factors, no anomalous dispersion.

Largest 8 diffraction maxima, by angle, 2θ from 15° to 90°:
- 2θ 28.59, I 100
- 2θ 35.02, I 35
- 2θ 35.65, I 18
- 2θ 37.54, I 29
- 2θ 37.92, I 42
- 2θ 40.58, I 19
- 2θ 54.44, I 17
- 2θ 62.36, I 19

Structure:
Unit cell a=12.6775 b=12.6775 c=4.7410 alpha=90.00 beta=90.00 gamma=120.00
Space group P-3 (No. 147)
Asymmetric unit:
Rb 0.3333 0.6667 0.2471
In 0.0654 0.4369 0.7570
In 0.1156 0.2495 0.2261
Sn 0.0000 0.0000 0.5000
Sn 0.1051 0.7030 0.7366

Entry 3:
This entry pairs a crystal structure of RbIn2TcSn with its computed powder XRD pattern. Radiation: Cu Ka. Structure: a crystal structure in Alexandria, relaxed with GGA-PBE.
Neutral-atom scattering factors, no anomalous dispersion.

Largest 8 diffraction maxima, by angle, 2θ from 15° to 90°:
- 2θ 16.60, I 31
- 2θ 29.22, I 100
- 2θ 33.57, I 88
- 2θ 34.47, I 41
- 2θ 48.21, I 31
- 2θ 48.88, I 60
- 2θ 57.37, I 29
- 2θ 60.60, I 31

Structure:
Unit cell a=5.339 b=5.339 c=5.204 alpha=90.00 beta=90.00 gamma=90.00
Space group P4/mmm (No. 123)
Asymmetric unit:
Rb 0.000 0.000 0.000
In 0.000 0.500 0.500
Tc 0.500 0.500 0.500
Sn 0.500 0.500 0.000

Entry 4:
This entry pairs a crystal structure of RbTl2InSn with its computed powder XRD pattern. Radiation: Cu Ka. Structure: a crystal structure in Alexandria, relaxed with GGA-PBE.
Neutral-atom scattering factors, no anomalous dispersion.

Largest 8 diffraction maxima, by angle, 2θ from 15° to 90°:
- 2θ 18.79, I 80
- 2θ 26.23, I 74
- 2θ 28.24, I 98
- 2θ 35.74, I 95
- 2θ 36.25, I 100
- 2θ 37.10, I 66
- 2θ 52.46, I 49
- 2θ 64.54, I 38

Structure:
Unit cell a=5.025 b=5.025 c=13.830 alpha=90.00 beta=90.00 gamma=90.00
Space group I-4m2 (No. 119)
Asymmetric unit:
Rb 0.000 0.000 0.000
Tl 0.000 0.000 0.386
In 0.000 0.500 0.250
Sn 0.000 0.500 0.750

Entry 5:
This entry pairs a crystal structure of RbSrIn6 with its computed powder XRD pattern. Radiation: Cu Ka. Structure: a crystal structure in Alexandria, relaxed with GGA-PBE.
Neutral-atom scattering factors, no anomalous dispersion.

Largest 8 diffraction maxima, by angle, 2θ from 15° to 90°:
- 2θ 25.10, I 18
- 2θ 28.53, I 35
- 2θ 29.91, I 56
- 2θ 32.67, I 24
- 2θ 33.86, I 100
- 2θ 36.15, I 37
- 2θ 39.95, I 15
- 2θ 46.68, I 18

Structure:
Unit cell a=4.970 b=6.889 c=7.477 alpha=90.00 beta=90.00 gamma=90.00
Space group Pmm2 (No. 25)
Asymmetric unit:
Rb 0.000 0.000 0.000
Sr 0.500 0.500 0.185
In 0.000 0.272 0.458
In 0.000 0.500 0.837
In 0.500 0.000 0.358
In 0.500 0.245 0.718

Entry 6:
This entry pairs a crystal structure of RbIn2Tc with its computed powder XRD pattern. Radiation: Cu Ka. Structure: a crystal structure in Alexandria, relaxed with GGA-PBE.
Neutral-atom scattering factors, no anomalous dispersion.

Largest 8 diffraction maxima, by angle, 2θ from 15° to 90°:
- 2θ 21.19, I 36
- 2θ 22.35, I 100
- 2θ 27.85, I 29
- 2θ 29.89, I 74
- 2θ 35.26, I 28
- 2θ 35.37, I 30
- 2θ 45.60, I 78
- 2θ 46.12, I 28

Structure:
Unit cell a=6.406 b=6.406 c=16.634 alpha=90.00 beta=90.00 gamma=90.00
Space group I4_1/amd (No. 141, origin choice 2)
Asymmetric unit:
Rb 0.000 0.250 0.375
In 0.000 0.000 0.000
Tc 0.000 0.250 0.875

Entry 7:
This entry pairs a crystal structure of Rb2InTe2 with its computed powder XRD pattern. Radiation: Cu Ka. Structure: a crystal structure in Alexandria, relaxed with GGA-PBE.
Neutral-atom scattering factors, no anomalous dispersion.

Largest 8 diffraction maxima, by angle, 2θ from 15° to 90°:
- 2θ 24.30, I 39
- 2θ 24.67, I 85
- 2θ 25.26, I 46
- 2θ 27.17, I 100
- 2θ 27.55, I 58
- 2θ 29.76, I 29
- 2θ 32.53, I 52
- 2θ 36.38, I 47

Structure:
Unit cell a=10.732 b=9.767 c=8.952 alpha=90.00 beta=106.38 gamma=90.00
Space group P2_1/c (No. 14)
Asymmetric unit:
Rb 0.072 0.239 0.026
Rb 0.316 0.627 0.914
In 0.385 0.075 0.917
Te 0.140 0.547 0.282
Te 0.414 0.188 0.244

Entry 8:
This entry pairs a crystal structure of Rb3In2Te3 with its computed powder XRD pattern. Radiation: Cu Ka. Structure: a crystal structure in Alexandria, relaxed with GGA-PBE.
Neutral-atom scattering factors, no anomalous dispersion.

Largest 8 diffraction maxima, by angle, 2θ from 15° to 90°:
- 2θ 24.83, I 22
- 2θ 26.52, I 16
- 2θ 27.38, I 15
- 2θ 28.04, I 100
- 2θ 30.43, I 39
- 2θ 36.90, I 17
- 2θ 38.62, I 21
- 2θ 41.51, I 20

Structure:
Unit cell a=26.502 b=4.351 c=5.704 alpha=90.00 beta=93.21 gamma=90.00
Space group C2/m (No. 12)
Asymmetric unit:
Rb 0.000 0.000 0.000
Rb 0.113 0.000 0.536
In 0.241 0.000 0.292
Te 0.000 0.500 0.500
Te 0.174 0.500 0.030

Entry 9:
This entry pairs a crystal structure of Rb2ZrInTe5 with its computed powder XRD pattern. Radiation: Cu Ka. Structure: a crystal structure in Alexandria, relaxed with GGA-PBE.
Neutral-atom scattering factors, no anomalous dispersion.

Largest 8 diffraction maxima, by angle, 2θ from 15° to 90°:
- 2θ 24.86, I 45
- 2θ 26.93, I 29
- 2θ 27.45, I 100
- 2θ 29.35, I 44
- 2θ 34.43, I 22
- 2θ 42.52, I 46
- 2θ 43.14, I 29
- 2θ 50.42, I 20

Structure:
Unit cell a=4.195 b=22.063 c=15.847 alpha=90.00 beta=90.00 gamma=90.00
Space group Cmc2_1 (No. 36)
Asymmetric unit:
Rb 0.000 0.131 0.000
Rb 0.000 0.134 0.627
Zr 0.000 0.210 0.329
In 0.000 0.433 0.733
Te 0.000 0.067 0.352
Te 0.000 0.299 0.954
Te 0.000 0.304 0.694
Te 0.000 0.335 0.315
Te 0.000 0.497 0.583

Entry 10:
This entry pairs a crystal structure of RbTi2In with its computed powder XRD pattern. Radiation: Cu Ka. Structure: a crystal structure in Alexandria, relaxed with GGA-PBE.
Neutral-atom scattering factors, no anomalous dispersion.

Largest 8 diffraction maxima, by angle, 2θ from 15° to 90°:
- 2θ 16.50, I 21
- 2θ 18.69, I 29
- 2θ 27.21, I 100
- 2θ 33.35, I 31
- 2θ 36.20, I 47
- 2θ 36.94, I 21
- 2θ 40.70, I 34
- 2θ 56.12, I 25

Structure:
Unit cell a=4.867 b=4.867 c=21.490 alpha=90.00 beta=90.00 gamma=90.00
Space group I-42d (No. 122)
Asymmetric unit:
Rb 0.000 0.000 0.000
Ti 0.031 0.250 0.625
In 0.000 0.000 0.500

Entry 11:
This entry pairs a crystal structure of RbTl10In2 with its computed powder XRD pattern. Radiation: Cu Ka. Structure: a crystal structure in Alexandria, relaxed with GGA-PBE.
Neutral-atom scattering factors, no anomalous dispersion.

Largest 8 diffraction maxima, by angle, 2θ from 15° to 90°:
- 2θ 27.17, I 35
- 2θ 31.33, I 100
- 2θ 31.57, I 44
- 2θ 31.74, I 56
- 2θ 35.32, I 51
- 2θ 35.44, I 38
- 2θ 35.59, I 40
- 2θ 56.06, I 40

Structure:
Unit cell a=6.485 b=16.061 c=16.229 alpha=90.00 beta=90.00 gamma=90.00
Space group Fmmm (No. 69)
Asymmetric unit:
Rb 0.000 0.000 0.000
Tl 0.000 0.106 0.390
Tl 0.000 0.176 0.180
Tl 0.250 0.250 0.000
In 0.250 0.000 0.250

Entry 12:
This entry pairs a crystal structure of Rb2TlIn2 with its computed powder XRD pattern. Radiation: Cu Ka. Structure: a crystal structure in Alexandria, relaxed with GGA-PBE.
Neutral-atom scattering factors, no anomalous dispersion.

Largest 8 diffraction maxima, by angle, 2θ from 15° to 90°:
- 2θ 25.06, I 36
- 2θ 26.66, I 100
- 2θ 27.70, I 87
- 2θ 31.66, I 41
- 2θ 32.89, I 20
- 2θ 35.71, I 26
- 2θ 36.10, I 17
- 2θ 36.77, I 24

Structure:
Unit cell a=7.120 b=16.956 c=7.966 alpha=90.00 beta=113.01 gamma=90.00
Space group C2/m (No. 12)
Asymmetric unit:
Rb 0.154 0.148 0.304
Tl 0.000 0.345 0.000
In 0.108 0.500 0.276
In 0.200 0.000 0.986

Entry 13:
This entry pairs a crystal structure of Rb2Tl4In3 with its computed powder XRD pattern. Radiation: Cu Ka. Structure: a crystal structure in Alexandria, relaxed with GGA-PBE.
Neutral-atom scattering factors, no anomalous dispersion.

Largest 8 diffraction maxima, by angle, 2θ from 15° to 90°:
- 2θ 16.66, I 17
- 2θ 27.61, I 23
- 2θ 27.82, I 20
- 2θ 31.78, I 100
- 2θ 32.26, I 31
- 2θ 33.68, I 22
- 2θ 35.16, I 16
- 2θ 51.51, I 26

Structure:
Unit cell a=6.462 b=11.363 c=16.652 alpha=90.00 beta=90.00 gamma=90.00
Space group Fmmm (No. 69)
Asymmetric unit:
Rb 0.000 0.000 0.134
Tl 0.000 0.167 0.334
In 0.000 0.000 0.500
In 0.250 0.250 0.000